Entry 1:
Calculated X-ray diffraction stick pattern
Compound: MoIrO6
Radiation: Cu Kα (λ = 1.5418 Å)
Structure: a GGA+U-relaxed structure
Neutral-atom scattering factors, no anomalous dispersion.

Structure:
abc: 5.3461 5.3538 9.3018
angles: 90.00 125.09 90.00
Positions (direct):
Mo 0.0000 0.0000 0.0000
Mo 0.0000 0.5000 0.5000
Ir 0.5000 0.0000 0.5000
Ir 0.5000 0.5000 0.0000
O 0.2060 0.2164 0.4874
O 0.2060 0.2836 0.9874
O 0.2718 0.7183 0.4875
O 0.2718 0.7817 0.9875
O 0.2763 0.0028 0.2514
O 0.2763 0.4972 0.7514
O 0.7237 0.5028 0.2486
O 0.7237 0.9972 0.7486
O 0.7282 0.2183 0.0125
O 0.7282 0.2817 0.5125
O 0.7940 0.7164 0.0126
O 0.7940 0.7836 0.5126

Largest 10 diffraction maxima, in order of falling intensity, 5 to 70 degrees two-theta:
2θ = 23.5°, intensity 100.0; 2θ = 33.4°, intensity 63.5; 2θ = 23.4°, intensity 51.6; 2θ = 54.2°, intensity 29.3; 2θ = 20.3°, intensity 21.8; 2θ = 59.8°, intensity 21.4; 2θ = 53.9°, intensity 19.9; 2θ = 48.1°, intensity 19.1; 2θ = 41.3°, intensity 17.7; 2θ = 33.5°, intensity 13.1

=====

Entry 2:
Calculated X-ray diffraction stick pattern
Compound: MoIr2O6
Radiation: Cu Kα (λ = 1.5418 Å)
Structure: a GGA+U-relaxed structure
Neutral-atom scattering factors, no anomalous dispersion.

Structure:
abc: 8.7191 8.7191 4.5627
angles: 90.00 90.00 120.00
Positions (direct):
Mo 0.0000 0.0000 0.0000
Mo 0.3333 0.6667 0.4957
Mo 0.6667 0.3333 0.5043
Ir 0.0000 0.3405 0.0000
Ir 0.0000 0.6732 0.5000
Ir 0.3268 0.3268 0.5000
Ir 0.3405 0.0000 0.0000
Ir 0.6595 0.6595 0.0000
Ir 0.6732 0.0000 0.5000
O 0.1078 0.2215 0.2490
O 0.1136 0.5626 0.2440
O 0.1138 0.8922 0.2490
O 0.2180 0.4463 0.7455
O 0.2215 0.1078 0.7510
O 0.2283 0.7820 0.7455
O 0.4374 0.5510 0.2440
O 0.4463 0.2180 0.2545
O 0.4490 0.8864 0.2440
O 0.5510 0.4374 0.7560
O 0.5537 0.7717 0.7455
O 0.5626 0.1136 0.7560
O 0.7717 0.5537 0.2545
O 0.7785 0.8862 0.2490
O 0.7820 0.2283 0.2545
O 0.8864 0.4490 0.7560
O 0.8862 0.7785 0.7510
O 0.8922 0.1138 0.7510

Largest 10 diffraction maxima, in order of falling intensity, 5 to 70 degrees two-theta:
2θ = 28.3°, intensity 100.0; 2θ = 35.7°, intensity 45.8; 2θ = 54.3°, intensity 40.8; 2θ = 46.2°, intensity 26.6; 2θ = 59.7°, intensity 24.7; 2θ = 64.1°, intensity 13.9; 2θ = 64.9°, intensity 9.8; 2θ = 39.5°, intensity 9.2; 2θ = 20.4°, intensity 7.8; 2θ = 30.7°, intensity 5.5

=====

Entry 3:
Calculated X-ray diffraction stick pattern
Compound: MoIrO3
Radiation: Cu Kα (λ = 1.5418 Å)
Structure: a GGA+U-relaxed structure
Neutral-atom scattering factors, no anomalous dispersion.

Structure:
abc: 3.9330 3.9330 3.9330
angles: 90.00 90.00 90.00
Positions (direct):
Mo 0.0000 0.0000 0.0000
Ir 0.5000 0.5000 0.5000
O 0.0000 0.5000 0.5000
O 0.5000 0.0000 0.5000
O 0.5000 0.5000 0.0000

Largest 7 diffraction maxima, in order of falling intensity, 5 to 70 degrees two-theta:
2θ = 32.2°, intensity 100.0; 2θ = 57.4°, intensity 39.4; 2θ = 46.2°, intensity 27.8; 2θ = 22.6°, intensity 19.0; 2θ = 67.3°, intensity 17.1; 2θ = 52.0°, intensity 8.4; 2θ = 39.7°, intensity 1.0

=====

Entry 4:
Calculated X-ray diffraction stick pattern
Compound: TlMo2IrO8
Radiation: Cu Kα (λ = 1.5418 Å)
Structure: a GGA+U-relaxed structure
Neutral-atom scattering factors, no anomalous dispersion.

Structure:
abc: 5.4984 5.4984 8.0846
angles: 92.27 92.27 64.35
Positions (direct):
Tl 0.0000 0.0000 0.0000
Mo 0.3632 0.3632 0.7020
Mo 0.6368 0.6368 0.2980
Ir 0.0000 0.0000 0.5000
O 0.2098 0.2098 0.5580
O 0.2148 0.7308 0.6750
O 0.2692 0.7852 0.3250
O 0.3123 0.3123 0.9081
O 0.6877 0.6877 0.0919
O 0.7308 0.2148 0.6750
O 0.7852 0.2692 0.3250
O 0.7902 0.7902 0.4420

Largest 10 diffraction maxima, in order of falling intensity, 5 to 70 degrees two-theta:
2θ = 28.2°, intensity 100.0; 2θ = 32.7°, intensity 66.8; 2θ = 17.9°, intensity 58.8; 2θ = 19.1°, intensity 53.2; 2θ = 28.9°, intensity 49.7; 2θ = 30.5°, intensity 42.8; 2θ = 21.3°, intensity 25.0; 2θ = 30.0°, intensity 24.9; 2θ = 43.3°, intensity 22.3; 2θ = 49.1°, intensity 18.2